Structure and simulated powder X-ray diffraction pattern of LiFeF4 (DFT lattice parameters and positions (GGA+U); Cu Kα X-rays).
No peak broadening, texture or thermal motion is included.

Crystal structure
```
data_LiFeF4
_space_group_name_H-M_alt 'P 1 21/c 1'
_space_group_IT_number 14
_space_group_name_Hall '-P 2ybc'
_cell_length_a 6.0537
_cell_length_b 7.7812
_cell_length_c 10.4769
_cell_angle_alpha 90.00
_cell_angle_beta 122.13
_cell_angle_gamma 90.00
loop_
_atom_site_label
_atom_site_type_symbol
_atom_site_fract_x
_atom_site_fract_y
_atom_site_fract_z
Li1 Li 0.1781 0.0314 0.2671
Fe1 Fe 0.1698 0.6797 0.0597
F1 F 0.0078 0.6537 0.4130
F2 F 0.0261 0.0106 0.3936
F3 F 0.2422 0.6927 0.7286
F4 F 0.4939 0.1455 0.3947
```

Peak list (6 most intense, 5 to 70 degrees two-theta, by angle)
h k l  Position (°2θ)  intensity
0 1 1  15.1  76
1 0 0  17.3  50
1 0 -2  18.2  61
1 1 0  20.7  100
0 1 2  23.1  35
0 2 3  38.2  37

Structure and simulated powder X-ray diffraction pattern of MgMn4Si8O22 (DFT lattice parameters and positions (GGA+U); Cu Kα X-rays).
No peak broadening, texture or thermal motion is included.

Crystal structure
```
data_MgMn4Si8O22
_space_group_name_H-M_alt 'P 1'
_space_group_IT_number 1
_space_group_name_Hall 'P 1'
_cell_length_a 7.1296
_cell_length_b 7.6686
_cell_length_c 8.6942
_cell_angle_alpha 99.02
_cell_angle_beta 103.17
_cell_angle_gamma 107.42
loop_
_atom_site_label
_atom_site_type_symbol
_atom_site_fract_x
_atom_site_fract_y
_atom_site_fract_z
Mg1 Mg 0.0000 0.0000 0.0000
Mn1 Mn 0.2575 0.1681 0.7918
Mn2 Mn 0.4744 0.4338 0.5670
Mn3 Mn 0.7238 0.1801 0.7940
Mn4 Mn 0.9598 0.4322 0.5765
Si1 Si 0.0831 0.5990 0.9670
Si2 Si 0.1332 0.0193 0.4115
Si3 Si 0.3630 0.4223 0.1583
Si4 Si 0.3694 0.7853 0.7975
Si5 Si 0.5602 0.0232 0.4027
Si6 Si 0.6469 0.5883 0.9602
Si7 Si 0.8243 0.8258 0.5810
Si8 Si 0.8381 0.1793 0.2177
O1 O 0.2174 0.5540 0.1219
O2 O 0.2168 0.7864 0.9174
O3 O 0.2224 0.2163 0.5542
O4 O 0.2571 0.2162 0.0296
O5 O 0.2570 0.5988 0.6439
O6 O 0.3122 0.9593 0.3591
O7 O 0.4037 0.3999 0.3420
O8 O 0.4273 0.9886 0.7549
O9 O 0.5493 0.4046 0.8026
O10 O 0.5783 0.5335 0.1164
O11 O 0.5829 0.7627 0.9050
O12 O 0.6196 0.0456 0.2356
O13 O 0.6216 0.8558 0.4728
O14 O 0.6845 0.2214 0.5463
O15 O 0.7571 0.6106 0.6049
O16 O 0.8308 0.1810 0.0321
O17 O 0.9020 0.6772 0.0107
O18 O 0.9253 0.9861 0.7553
O19 O 0.9324 0.3771 0.3526
O20 O 0.9902 0.0440 0.2444
O21 O 0.9911 0.4200 0.8077
O22 O 0.9969 0.8551 0.4807
```

Peak list (6 most intense, 5 to 70 degrees two-theta, by angle)
h k l  Position (°2θ)  intensity
0 0 1  10.8  89
0 1 0  12.5  39
0 1 2  27.6  58
0 2 1  29.7  46
2 -2 0  30.1  100
2 1 -1  32.2  68

Structure and simulated powder X-ray diffraction pattern of TiFeO3 (DFT lattice parameters and positions (GGA+U); Cu Kα X-rays).
No peak broadening, texture or thermal motion is included.

Crystal structure
```
data_TiFeO3
_space_group_name_H-M_alt 'R 3 c'
_space_group_IT_number 161
_space_group_name_Hall 'R 3 -2"c'
_cell_length_a 5.1976
_cell_length_b 5.1976
_cell_length_c 13.9126
_cell_angle_alpha 90.00
_cell_angle_beta 90.00
_cell_angle_gamma 120.00
loop_
_atom_site_label
_atom_site_type_symbol
_atom_site_fract_x
_atom_site_fract_y
_atom_site_fract_z
Ti1 Ti 0.0000 0.0000 0.0000
Fe1 Fe 0.0000 0.0000 0.2137
O1 O 0.0062 0.3781 0.2729
```

Peak list (6 most intense, 5 to 70 degrees two-theta, by angle)
h k l  Position (°2θ)  intensity
1 0 4  32.5  100
1 1 0  34.5  69
0 2 4  48.2  40
1 1 6  52.9  42
2 1 4  60.6  32
3 0 0  61.8  31